Ag7Te2S2: theoretical powder diffraction line list (Cu Kα (weighted mean of Kα1 and Kα2)), based on a structure optimized by DFT (GGA-PBE).

Atomic structure:
```
Ag7Te2S2
1.0
4.514 -3.989 0.000
4.514 3.989 0.000
-0.016 0.000 7.249
Ag Te S
7 2 2
direct
0.000 0.000 0.000 Ag
0.000 0.499 0.294 Ag
0.000 0.501 0.706 Ag
0.499 0.000 0.294 Ag
0.500 0.500 0.303 Ag
0.500 0.500 0.697 Ag
0.501 0.000 0.706 Ag
0.289 0.289 0.999 Te
0.711 0.711 0.001 Te
0.224 0.776 0.500 S
0.776 0.224 0.500 S
```

Largest 10 diffraction maxima, by intensity, 5° ≤ 2θ ≤ 70°:
2.306 Å, 2θ 39.06, I 100.0
3.495 Å, 2θ 25.49, I 67.2
2.989 Å, 2θ 29.89, I 50.8
2.257 Å, 2θ 39.94, I 43.6
2.683 Å, 2θ 33.40, I 37.1
2.224 Å, 2θ 40.57, I 36.9
2.416 Å, 2θ 37.21, I 36.5
1.994 Å, 2θ 45.48, I 35.7
2.625 Å, 2θ 34.16, I 32.3
5.978 Å, 2θ 14.82, I 27.4